No. 1
Diffraction record for Dy2Tm4Zr. The XRD peak list is calculated, not measured: it uses a DFT-relaxed cell (PBE, Alexandria) and Cu Ka.
Peak positions follow from Bragg's law for the DFT cell and can differ from measured ones.

The 12 most intense peaks (15 to 90 degrees two-theta), sorted by position:
2theta, Rel. int., (hkl)
29.47, 32, 2 0 -1
29.59, 17, 1 1 -1
32.40, 51, 0 0 7
33.31, 99, 1 1 3
34.08, 100, 1 1 -4
52.19, 44, 0 2 0
57.88, 17, 1 1 10
59.37, 19, 2 0 10
62.79, 46, 3 1 6
63.34, 16, 4 0 2
63.81, 16, 4 0 -5
86.89, 14, 4 2 -5

Crystal structure
a = 6.0713 Å, b = 3.5049 Å, c = 19.4470 Å
α = 90.00°, β = 95.96°, γ = 90.00°
Space group Cm (No. 8)
Inequivalent atoms, fractional coordinates:
Dy (0.0000, 0.0000, 0.0000) x2
Dy (0.0962, 0.0000, 0.2924) x2
Tm (0.2844, 0.0000, 0.8544) x2
Tm (0.3126, 0.5000, 0.4422) x2
Tm (0.3819, 0.0000, 0.1469) x2
Tm (0.4013, 0.5000, 0.7074) x2
Zr (0.1902, 0.0000, 0.5747) x2



No. 2
Diffraction record for Dy12Tm7Zr. The XRD peak list is calculated, not measured: it uses a DFT-relaxed cell (PBE, Alexandria) and Cu Ka.
Peak positions follow from Bragg's law for the DFT cell and can differ from measured ones.

The 12 most intense peaks (15 to 90 degrees two-theta), sorted by position:
2theta, Rel. int., (hkl)
29.59, 14, 0 2 4
30.93, 100, 4 -3 1
31.17, 46, 0 3 3
31.63, 38, 0 1 5
32.73, 72, 4 -1 2
33.07, 53, 3 -1 4
34.93, 14, 2 0 5
46.88, 14, 6 -2 2
53.88, 17, 2 5 0
54.52, 15, 5 -4 6
55.06, 12, 3 -2 8
57.30, 14, 5 2 3

Crystal structure
a = 12.2775 Å, b = 12.2775 Å, c = 14.6711 Å
α = 90.00°, β = 90.00°, γ = 120.00°
Space group R-3 (No. 148, hexagonal axes)
Inequivalent atoms, fractional coordinates:
Dy (0.0202, 0.4382, 0.2139) x18
Dy (0.0465, 0.1861, 0.3089) x18
Tm (0.0000, 0.0000, 0.5000) x3
Tm (0.0709, 0.8344, 0.9052) x18
Zr (0.0000, 0.0000, 0.0000) x3



No. 3
Diffraction record for DyTm4Zr. The XRD peak list is calculated, not measured: it uses a DFT-relaxed cell (PBE, Alexandria) and Cu Ka.
Peak positions follow from Bragg's law for the DFT cell and can differ from measured ones.

The 12 most intense peaks (15 to 90 degrees two-theta), sorted by position:
2theta, Rel. int., (hkl)
31.74, 100, 0 2 1
31.95, 99, 1 0 1
36.82, 68, 1 2 -1
37.16, 32, 0 0 3
53.32, 57, 2 0 -1
62.98, 14, -1 4 1
63.11, 14, 1 4 0
63.35, 14, -2 2 2
63.48, 14, 2 2 0
63.63, 13, 0 2 4
63.75, 13, 1 0 4
87.57, 12, 3 0 0

Crystal structure
a = 3.4349 Å, b = 6.9375 Å, c = 7.6563 Å
α = 103.08°, β = 102.92°, γ = 90.14°
Space group P-1 (No. 2)
Inequivalent atoms, fractional coordinates:
Dy (0.0000, 0.0000, 0.0000) x1
Tm (0.3379, 0.1790, 0.6759) x2
Tm (0.3396, 0.6601, 0.6791) x2
Zr (0.0000, 0.5000, 0.0000) x1



No. 4
Diffraction record for Dy3V. The XRD peak list is calculated, not measured: it uses a DFT-relaxed cell (PBE, Alexandria) and Cu Ka.
Peak positions follow from Bragg's law for the DFT cell and can differ from measured ones.

The 12 most intense peaks (15 to 90 degrees two-theta), sorted by position:
2theta, Rel. int., (hkl)
25.45, 14, 1 1 0
29.39, 33, 0 3 1
32.36, 18, 0 4 0
33.43, 29, 0 0 2
33.65, 100, 1 2 1
47.21, 12, 0 4 2
47.93, 13, 1 5 0
58.54, 14, 2 3 1
59.70, 13, 1 5 2
59.89, 19, 1 2 3
60.97, 11, 2 0 2
82.31, 14, 3 2 1

Crystal structure
a = 3.6892 Å, b = 11.0654 Å, c = 5.3611 Å
α = 90.00°, β = 90.00°, γ = 90.00°
Space group Imm2 (No. 44)
Inequivalent atoms, fractional coordinates:
Dy (0.0000, 0.0000, 0.0000) x2
Dy (0.0000, 0.2125, 0.5006) x4
V (0.0000, 0.5000, 0.9995) x2



No. 5
Diffraction record for Dy2Y5. The XRD peak list is calculated, not measured: it uses a DFT-relaxed cell (PBE, Alexandria) and Cu Ka.
Peak positions follow from Bragg's law for the DFT cell and can differ from measured ones.

The 12 most intense peaks (15 to 90 degrees two-theta), sorted by position:
2theta, Rel. int., (hkl)
28.30, 25, 3 1 -2
31.64, 24, 4 0 2
32.51, 100, 2 2 1
42.96, 15, 7 1 0
50.11, 20, 6 0 -4
56.91, 20, 6 2 3
60.48, 22, 7 3 0
61.01, 16, 8 2 -3
68.09, 4, 4 4 2
79.22, 5, 12 2 -1
82.76, 13, 5 5 -1
87.32, 8, 14 0 0

Crystal structure
a = 15.7205 Å, b = 6.3049 Å, c = 9.2250 Å
α = 90.00°, β = 96.17°, γ = 90.00°
Space group C2/c (No. 15)
Inequivalent atoms, fractional coordinates:
Dy (0.0712, 0.1663, 0.1072) x8
Y (0.0000, 0.3319, 0.7500) x4
Y (0.1422, 0.3327, 0.4640) x8
Y (0.2146, 0.1653, 0.8215) x8



No. 6
Diffraction record for Dy2Y13. The XRD peak list is calculated, not measured: it uses a DFT-relaxed cell (PBE, Alexandria) and Cu Ka.
Peak positions follow from Bragg's law for the DFT cell and can differ from measured ones.

The 12 most intense peaks (15 to 90 degrees two-theta), sorted by position:
2theta, Rel. int., (hkl)
25.33, 10, 1 2 2
31.37, 91, 1 3 1
31.79, 100, -2 1 1
41.08, 14, 3 1 1
45.25, 26, 3 0 2
52.02, 8, 2 4 4
56.35, 24, 0 5 0
56.44, 8, -2 4 3
56.60, 12, 3 0 -3
56.70, 7, 3 -3 0
62.26, 28, 4 3 3
80.44, 8, 5 1 4

Crystal structure
a = 6.6363 Å, b = 9.0050 Å, c = 9.0097 Å
α = 65.62°, β = 81.42°, γ = 81.36°
Space group P-1 (No. 2)
Inequivalent atoms, fractional coordinates:
Dy (0.0983, 0.2847, 0.4148) x2
Y (0.0000, 0.5000, 0.0000) x1
Y (0.1036, 0.9517, 0.7454) x2
Y (0.1984, 0.7007, 0.2013) x2
Y (0.2879, 0.1252, 0.9790) x2
Y (0.3083, 0.4543, 0.6400) x2
Y (0.3992, 0.8982, 0.4025) x2
Y (0.4857, 0.6701, 0.8376) x2



No. 7
Diffraction record for Dy8Y. The XRD peak list is calculated, not measured: it uses a DFT-relaxed cell (PBE, Alexandria) and Cu Ka.
Peak positions follow from Bragg's law for the DFT cell and can differ from measured ones.

The 12 most intense peaks (15 to 90 degrees two-theta), sorted by position:
2theta, Rel. int., (hkl)
25.82, 1, 2 1 1
30.89, 100, 3 0 1
35.82, 51, 3 3 0
51.55, 36, 6 0 0
61.28, 28, 6 3 1
61.39, 14, 3 0 3
64.36, 12, 6 0 2
75.84, 4, 6 6 0
76.03, 2, 0 0 4
84.16, 18, 9 0 1
86.82, 11, 9 3 0
86.99, 6, 3 3 4

Crystal structure
a = 10.6442 Å, b = 10.6442 Å, c = 5.0071 Å
α = 90.00°, β = 90.00°, γ = 90.00°
Space group I4/mmm (No. 139)
Inequivalent atoms, fractional coordinates:
Dy (0.0000, 0.3337, 0.0000) x8
Dy (0.1673, 0.1673, 0.5000) x8
Y (0.0000, 0.0000, 0.0000) x2



No. 8
Diffraction record for Dy2Y7. The XRD peak list is calculated, not measured: it uses a DFT-relaxed cell (PBE, Alexandria) and Cu Ka.
Peak positions follow from Bragg's law for the DFT cell and can differ from measured ones.

The 12 most intense peaks (15 to 90 degrees two-theta), sorted by position:
2theta, Rel. int., (hkl)
27.05, 14, 1 0 1
31.03, 69, 1 1 1
31.96, 100, 3 0 0
32.85, 29, 2 0 1
37.86, 23, 2 1 1
45.14, 20, 2 2 1
50.96, 10, 0 0 2
54.03, 20, 3 2 1
56.38, 19, 4 1 1
56.96, 15, 3 3 0
61.43, 32, 3 0 2
79.92, 11, 3 3 2

Crystal structure
a = 9.6994 Å, b = 9.6994 Å, c = 3.5843 Å
α = 90.00°, β = 90.00°, γ = 120.00°
Space group P-62m (No. 189)
Inequivalent atoms, fractional coordinates:
Dy (0.3333, 0.6667, 0.0000) x2
Y (0.0000, 0.0000, 0.5000) x1
Y (0.0000, 0.3617, 0.5000) x3
Y (0.0000, 0.6937, 0.0000) x3